Starting from a DFT-relaxed cell (GGA-PBE, Alexandria), the PXRD pattern of CsNaMg6 was simulated for a wavelength of 1.5418 Å.
Peak positions follow from Bragg's law for the DFT cell and can differ from measured ones.

Largest 8 diffraction maxima, low angle first, 2θ = 5–70°:
| Position (°2θ) | intensity |
| --- | --- |
| 15.04 | 58.4 |
| 20.19 | 100.0 |
| 23.36 | 43.9 |
| 26.15 | 40.4 |
| 27.04 | 54.3 |
| 30.36 | 33.6 |
| 35.40 | 49.9 |
| 39.25 | 35.5 |

Atomic structure:
```
CsNaMg6
1.0
4.991 0.000 0.000
0.000 3.103 9.331
0.000 -3.103 9.331
Cs Na Mg
1 1 6
Direct
0.000 0.000 0.000
0.000 0.381 0.381
0.000 0.464 0.958
0.000 0.958 0.464
0.500 0.052 0.570
0.500 0.166 0.166
0.500 0.570 0.052
0.500 0.651 0.651
```